This entry pairs a crystal structure of VH12C6NO4 with its theoretical powder diffraction line list. Radiation: Cu Kα (λ = 1.5418 Å). Structure: a cell relaxed with PBE+U.

Structure:
```
data_VH12C6NO4
_chemical_formula_sum 'V2 H24 C12 N2 O8'
_symmetry_space_group_name_H-M 'P 1 21 1'
_symmetry_Int_Tables_number 4
_symmetry_space_group_name_Hall 'P 2yb'
_cell_length_a 7.464
_cell_length_b 7.620
_cell_length_c 8.267
_cell_angle_alpha 90.00
_cell_angle_beta 93.02
_cell_angle_gamma 90.00
loop_
_atom_site_label
_atom_site_type_symbol
_atom_site_fract_x
_atom_site_fract_y
_atom_site_fract_z
V1 V 0.205 0.000 0.253
H1 H 0.012 0.354 0.061
H2 H 0.035 0.984 0.768
H3 H 0.093 0.344 0.492
H4 H 0.153 0.725 0.628
H5 H 0.237 0.257 0.928
H6 H 0.244 0.713 0.831
H7 H 0.270 0.490 0.450
H8 H 0.313 0.503 0.114
H9 H 0.350 0.225 0.642
H10 H 0.462 0.367 0.233
H11 H 0.474 0.253 0.960
H12 H 0.492 0.250 0.479
C1 C 0.009 0.353 0.194
C2 C 0.118 0.709 0.755
C3 C 0.221 0.355 0.433
C4 C 0.335 0.368 0.158
C5 C 0.347 0.237 0.020
C6 C 0.353 0.221 0.509
N1 N 0.191 0.311 0.261
O1 O 0.037 0.541 0.774
O2 O 0.213 0.784 0.248
O3 O 0.306 0.049 0.455
O4 O 0.337 0.062 0.081
```

Most intense lines, 2θ from 5° to 70°, low angle first:
2theta, I_rel, index
15.59, 81, 1 0 -1
15.83, 100, 0 1 1
16.44, 73, 1 0 1
16.64, 71, 1 1 0
21.53, 19, 0 0 2
23.88, 25, 2 0 0
25.21, 20, 1 0 2
28.24, 19, 1 2 -1